# Li11Nb12O36
Calculated X-ray powder pattern, copper Kα. Input: DFT lattice parameters and positions (GGA-PBE).

Peak list (12 most intense, 10° ≤ 2θ ≤ 90°, sorted by position)
2θ/deg, I/Imax, h k l
23.3, 100, 1 0 -4
32.2, 36, 1 2 0
34.0, 22, 2 1 0
39.2, 7, 1 0 -10
41.6, 11, 2 0 4
47.5, 19, 0 2 -8
52.3, 26, 1 -2 4
54.8, 13, 2 1 12
56.2, 7, 0 3 0
59.7, 14, 3 0 0
60.9, 8, 3 1 8
67.3, 6, 2 -2 0

Structural model:
```
data_Li11Nb12O36
_cell_length_a 5.2656
_cell_length_b 5.5805
_cell_length_c 26.0878
_cell_angle_alpha 87.33
_cell_angle_beta 89.92
_cell_angle_gamma 61.85
_space_group_name_H-M_alt 'P 1'
_space_group_IT_number 1
loop_
_space_group_symop_operation_xyz
'x,y,z'
loop_
_atom_site_label
_atom_site_type_symbol
_atom_site_fract_x
_atom_site_fract_y
_atom_site_fract_z
Li1 Li 0.0000 0.0000 0.0000
Li2 Li 0.0009 0.0026 0.4997
Li3 Li 0.0694 0.8644 0.7412
Li4 Li 0.0726 0.8538 0.2418
Li5 Li 0.3328 0.3352 0.8333
Li6 Li 0.4019 0.1977 0.5742
Li7 Li 0.4043 0.1922 0.0739
Li8 Li 0.4076 0.1872 0.3237
Li9 Li 0.6667 0.6687 0.6665
Li10 Li 0.7374 0.5309 0.9079
Li11 Li 0.7390 0.5239 0.4068
Nb1 Nb 0.0247 0.9428 0.1214
Nb2 Nb 0.0282 0.9459 0.8718
Nb3 Nb 0.0289 0.9462 0.6212
Nb4 Nb 0.0331 0.9272 0.3711
Nb5 Nb 0.3618 0.2804 0.7049
Nb6 Nb 0.3635 0.2783 0.9550
Nb7 Nb 0.3651 0.2759 0.4540
Nb8 Nb 0.3729 0.2648 0.1997
Nb9 Nb 0.6925 0.6020 0.2863
Nb10 Nb 0.6950 0.6095 0.0388
Nb11 Nb 0.6949 0.6136 0.7882
Nb12 Nb 0.6975 0.6110 0.5380
O1 O 0.0854 0.5822 0.4111
O2 O 0.0935 0.5727 0.9094
O3 O 0.1274 0.3628 0.0148
O4 O 0.1266 0.3626 0.5143
O5 O 0.1611 0.0491 0.4305
O6 O 0.1628 0.0452 0.9314
O7 O 0.2561 0.1235 0.1402
O8 O 0.2609 0.1118 0.6403
O9 O 0.2984 0.7912 0.5569
O10 O 0.2981 0.7996 0.0586
O11 O 0.3015 0.5902 0.1624
O12 O 0.3329 0.5820 0.6619
O13 O 0.4180 0.9176 0.2456
O14 O 0.4256 0.9060 0.7429
O15 O 0.4567 0.7147 0.3485
O16 O 0.4606 0.6963 0.8481
O17 O 0.4978 0.3766 0.7647
O18 O 0.5051 0.3794 0.2639
O19 O 0.5934 0.4452 0.4736
O20 O 0.5953 0.4462 0.9736
O21 O 0.6293 0.1251 0.8903
O22 O 0.6295 0.1259 0.3909
O23 O 0.6611 0.9140 0.9940
O24 O 0.6652 0.9172 0.4952
O25 O 0.7557 0.2441 0.0761
O26 O 0.7581 0.2398 0.5760
O27 O 0.7938 0.0296 0.6813
O28 O 0.7963 0.0453 0.1830
O29 O 0.8316 0.7096 0.5977
O30 O 0.8397 0.7256 0.0939
O31 O 0.9053 0.8008 0.3079
O32 O 0.9280 0.7783 0.8069
O33 O 0.9628 0.4587 0.7236
O34 O 0.9878 0.4480 0.2307
O35 O 0.9933 0.2548 0.3298
O36 O 0.9990 0.2479 0.8285
```

---

# Li3Nb7O19
Calculated X-ray powder pattern, copper Kα. Input: DFT lattice parameters and positions (GGA-PBE).

Peak list (12 most intense, 10° ≤ 2θ ≤ 90°, sorted by position)
2θ/deg, I/Imax, h k l
16.1, 26, 1 0 0
17.4, 46, 0 0 4
18.4, 16, 1 0 2
26.3, 56, 0 0 6
28.5, 100, 1 1 1
29.5, 17, 1 1 2
33.3, 23, 1 1 4
35.9, 30, 1 1 5
44.5, 17, 0 0 10
49.8, 36, 3 0 0
57.2, 28, 3 0 6
57.7, 18, 1 1 11

Structural model:
```
data_Li3Nb7O19
_cell_length_a 6.3429
_cell_length_b 6.3429
_cell_length_c 20.3374
_cell_angle_alpha 90.00
_cell_angle_beta 90.00
_cell_angle_gamma 120.00
_space_group_name_H-M_alt 'P 63/m'
_space_group_IT_number 176
_space_group_name_Hall '-P 6c'
loop_
_atom_site_label
_atom_site_type_symbol
_atom_site_fract_x
_atom_site_fract_y
_atom_site_fract_z
Li1 Li 0.0000 0.5000 0.0000
Nb1 Nb 0.0000 0.0000 0.0000
Nb2 Nb 0.0296 0.3347 0.1553
O1 O 0.0000 0.0000 0.1643
O2 O 0.0368 0.2822 0.0551
O3 O 0.0728 0.3640 0.2500
O4 O 0.0858 0.4204 0.6519
O5 O 0.3333 0.6667 0.1370
```

---

# Li3NbO4
Calculated X-ray powder pattern, copper Kα. Input: DFT lattice parameters and positions (GGA-PBE).

Peak list (12 most intense, 10° ≤ 2θ ≤ 90°, sorted by position)
2θ/deg, I/Imax, h k l
14.7, 83, 1 1 0
25.6, 100, 2 1 1
33.2, 37, 3 1 0
39.5, 18, 3 2 1
42.4, 52, 4 0 0
45.1, 24, 3 3 0
54.9, 17, 4 3 1
59.3, 31, 5 2 1
61.5, 27, 4 4 0
63.6, 10, 4 3 3
67.7, 12, 6 1 1
83.2, 11, 5 5 2

Structural model:
```
data_Li3NbO4
_cell_length_a 8.5291
_cell_length_b 8.5291
_cell_length_c 8.5291
_cell_angle_alpha 90.00
_cell_angle_beta 90.00
_cell_angle_gamma 90.00
_space_group_name_H-M_alt 'I -4 3 m'
_space_group_IT_number 217
_space_group_name_Hall 'I -4 2 3'
loop_
_atom_site_label
_atom_site_type_symbol
_atom_site_fract_x
_atom_site_fract_y
_atom_site_fract_z
Li1 Li 0.1079 0.3784 0.3784
Nb1 Nb 0.1404 0.1404 0.1404
O1 O 0.1136 0.1136 0.8864
O2 O 0.1231 0.1231 0.3627
```

---

# LiNb8O14
Calculated X-ray powder pattern, copper Kα. Input: DFT lattice parameters and positions (GGA-PBE).

Peak list (12 most intense, 10° ≤ 2θ ≤ 90°, sorted by position)
2θ/deg, I/Imax, h k l
12.7, 100, 1 1 0
19.5, 40, 1 1 1
25.6, 81, 2 1 1
31.3, 36, 1 3 1
32.1, 35, 2 3 0
32.6, 24, 1 1 2
34.6, 30, 0 2 2
35.9, 56, 1 4 0
45.3, 84, 3 4 0
52.5, 26, 4 2 2
60.8, 25, 5 4 0
61.9, 30, 0 6 2

Structural model:
```
data_LiNb8O14
_cell_length_a 9.4147
_cell_length_b 10.3944
_cell_length_c 5.9843
_cell_angle_alpha 90.00
_cell_angle_beta 90.00
_cell_angle_gamma 90.00
_space_group_name_H-M_alt 'P b a m'
_space_group_IT_number 55
loop_
_space_group_symop_operation_xyz
'x,y,z'
'-x,-y,-z'
'-x,-y,z'
'x,y,-z'
'x+1/2,-y+1/2,-z'
'-x+1/2,y+1/2,z'
'-x+1/2,y+1/2,-z'
'x+1/2,-y+1/2,z'
loop_
_atom_site_label
_atom_site_type_symbol
_atom_site_fract_x
_atom_site_fract_y
_atom_site_fract_z
Li1 Li 0.0000 0.0000 0.0000
Nb1 Nb 0.1143 0.1605 0.5000
Nb2 Nb 0.1196 0.6668 0.0000
Nb3 Nb 0.1275 0.4232 0.2351
O1 O 0.0000 0.0000 0.5000
O2 O 0.0000 0.5000 0.5000
O3 O 0.0049 0.2483 0.2501
O4 O 0.2347 0.3221 0.5000
O5 O 0.2417 0.8451 0.0000
O6 O 0.2452 0.0891 0.2511
```

---

Copy entry 2 word for word.
# Li3Nb7O19
Calculated X-ray powder pattern, copper Kα. Input: DFT lattice parameters and positions (GGA-PBE).

Peak list (12 most intense, 10° ≤ 2θ ≤ 90°, sorted by position)
2θ/deg, I/Imax, h k l
16.1, 26, 1 0 0
17.4, 46, 0 0 4
18.4, 16, 1 0 2
26.3, 56, 0 0 6
28.5, 100, 1 1 1
29.5, 17, 1 1 2
33.3, 23, 1 1 4
35.9, 30, 1 1 5
44.5, 17, 0 0 10
49.8, 36, 3 0 0
57.2, 28, 3 0 6
57.7, 18, 1 1 11

Structural model:
```
data_Li3Nb7O19
_cell_length_a 6.3429
_cell_length_b 6.3429
_cell_length_c 20.3374
_cell_angle_alpha 90.00
_cell_angle_beta 90.00
_cell_angle_gamma 120.00
_space_group_name_H-M_alt 'P 63/m'
_space_group_IT_number 176
_space_group_name_Hall '-P 6c'
loop_
_atom_site_label
_atom_site_type_symbol
_atom_site_fract_x
_atom_site_fract_y
_atom_site_fract_z
Li1 Li 0.0000 0.5000 0.0000
Nb1 Nb 0.0000 0.0000 0.0000
Nb2 Nb 0.0296 0.3347 0.1553
O1 O 0.0000 0.0000 0.1643
O2 O 0.0368 0.2822 0.0551
O3 O 0.0728 0.3640 0.2500
O4 O 0.0858 0.4204 0.6519
O5 O 0.3333 0.6667 0.1370
```